(1)
Simulated powder X-ray diffraction pattern
Compound: BaMnV2Ag2O8
Radiation: copper Kα
Structure: a structure optimized by DFT (PBE+U)
Neutral-atom scattering factors, no anomalous dispersion.

Cell and atoms:
Cell: 5.635 5.635 7.473 Å, 90.00 90.00 120.00°
Fractional positions:
Ba: 0.000 0.000 0.000
Mn: 0.000 0.000 0.500
V: 0.333 0.667 0.752
V: 0.667 0.333 0.248
Ag: 0.333 0.667 0.309
Ag: 0.667 0.333 0.691
O: 0.082 0.747 0.682
O: 0.253 0.335 0.682
O: 0.333 0.667 0.981
O: 0.335 0.082 0.318
O: 0.665 0.918 0.682
O: 0.667 0.333 0.019
O: 0.747 0.665 0.318
O: 0.918 0.253 0.318

Top 6 peaks for 10° ≤ 2θ ≤ 80°, in order of rising 2θ:
21.8°, intensity 26
30.1°, intensity 93
31.8°, intensity 100
44.3°, intensity 42
55.6°, intensity 33
56.6°, intensity 23

=====

(2)
Simulated powder X-ray diffraction pattern
Compound: PbWO4
Radiation: copper Kα
Structure: a structure optimized by DFT (PBE+U)
Neutral-atom scattering factors, no anomalous dispersion.

Cell and atoms:
Cell: 7.917 5.844 7.990 Å, 90.00 105.25 90.00°
Fractional positions:
Pb: 0.133 0.247 0.416
Pb: 0.133 0.253 0.916
Pb: 0.867 0.747 0.084
Pb: 0.867 0.753 0.584
W: 0.328 0.750 0.228
W: 0.328 0.750 0.728
W: 0.672 0.250 0.272
W: 0.672 0.250 0.772
O: 0.144 0.527 0.165
O: 0.144 0.973 0.665
O: 0.147 0.527 0.659
O: 0.147 0.973 0.159
O: 0.336 0.741 0.962
O: 0.336 0.759 0.462
O: 0.496 0.007 0.754
O: 0.496 0.493 0.254
O: 0.504 0.507 0.746
O: 0.504 0.993 0.246
O: 0.664 0.241 0.538
O: 0.664 0.259 0.038
O: 0.853 0.027 0.841
O: 0.853 0.473 0.341
O: 0.856 0.027 0.335
O: 0.856 0.473 0.835

Top 6 peaks for 10° ≤ 2θ ≤ 80°, in order of rising 2θ:
27.6°, intensity 79
27.7°, intensity 39
27.9°, intensity 100
30.6°, intensity 37
48.6°, intensity 26
52.8°, intensity 19

=====

(3)
Simulated powder X-ray diffraction pattern
Compound: MgV2Fe2O8
Radiation: copper Kα
Structure: a structure optimized by DFT (PBE+U)
Neutral-atom scattering factors, no anomalous dispersion.

Cell and atoms:
Cell: 5.345 5.356 6.360 Å, 85.81 86.63 65.88°
Fractional positions:
Mg: 0.000 0.000 0.000
V: 0.168 0.163 0.301
V: 0.832 0.837 0.699
Fe: 0.500 0.500 0.000
Fe: 0.500 0.500 0.500
O: 0.191 0.734 0.754
O: 0.267 0.266 0.514
O: 0.271 0.804 0.249
O: 0.278 0.275 0.069
O: 0.722 0.725 0.931
O: 0.729 0.196 0.751
O: 0.733 0.734 0.486
O: 0.809 0.266 0.246

Top 6 peaks for 10° ≤ 2θ ≤ 80°, in order of rising 2θ:
19.8°, intensity 40
23.4°, intensity 52
25.2°, intensity 69
30.7°, intensity 100
33.8°, intensity 66
46.3°, intensity 36

=====

(4)
Simulated powder X-ray diffraction pattern
Compound: Mn7O12
Radiation: copper Kα
Structure: a structure optimized by DFT (PBE+U)
Neutral-atom scattering factors, no anomalous dispersion.

Cell and atoms:
Cell: 6.385 6.385 6.385 Å, 109.63 109.42 109.36°
Fractional positions:
Mn: 0.000 0.000 0.000
Mn: 0.000 0.000 0.500
Mn: 0.000 0.500 0.000
Mn: 0.500 0.000 0.000
Mn: 0.500 0.000 0.500
Mn: 0.500 0.500 0.000
Mn: 0.500 0.500 0.500
O: 0.127 0.816 0.311
O: 0.189 0.005 0.816
O: 0.189 0.373 0.184
O: 0.316 0.311 0.627
O: 0.316 0.689 0.006
O: 0.494 0.184 0.311
O: 0.506 0.816 0.689
O: 0.684 0.311 0.994
O: 0.684 0.689 0.373
O: 0.811 0.627 0.816
O: 0.811 0.995 0.184
O: 0.873 0.184 0.689

Top 6 peaks for 10° ≤ 2θ ≤ 80°, in order of rising 2θ:
17.0°, intensity 27
29.7°, intensity 11
34.4°, intensity 100
49.4°, intensity 20
61.6°, intensity 35
61.7°, intensity 17

=====

(5)
Simulated powder X-ray diffraction pattern
Compound: Li3Mn2Cr2O8
Radiation: copper Kα
Structure: a structure optimized by DFT (PBE+U)
Neutral-atom scattering factors, no anomalous dispersion.

Cell and atoms:
Cell: 5.876 5.882 5.913 Å, 118.88 119.17 90.42°
Fractional positions:
Li: 0.000 0.000 0.000
Li: 0.000 0.500 0.500
Li: 0.500 0.000 0.000
Mn: 0.500 0.000 0.500
Mn: 0.500 0.500 0.000
Cr: 0.000 0.500 0.000
Cr: 0.500 0.500 0.500
O: 0.250 0.720 0.983
O: 0.264 0.740 0.473
O: 0.272 0.286 0.032
O: 0.289 0.268 0.540
O: 0.711 0.732 0.460
O: 0.728 0.714 0.968
O: 0.736 0.260 0.527
O: 0.750 0.280 0.017

Top 6 peaks for 10° ≤ 2θ ≤ 80°, in order of rising 2θ:
18.2°, intensity 100
18.4°, intensity 76
35.7°, intensity 26
42.2°, intensity 43
43.4°, intensity 40
43.7°, intensity 39

=====

(6)
Simulated powder X-ray diffraction pattern
Compound: Li9Mn2Co5O16
Radiation: copper Kα
Structure: a structure optimized by DFT (PBE+U)
Neutral-atom scattering factors, no anomalous dispersion.

Cell and atoms:
Cell: 5.921 2.871 17.072 Å, 90.00 90.27 90.00°
Fractional positions:
Li: 0.000 0.000 0.000
Li: 0.001 0.000 0.497
Li: 0.244 0.500 0.136
Li: 0.249 0.500 0.378
Li: 0.252 0.500 0.623
Li: 0.492 0.000 0.261
Li: 0.497 0.000 0.749
Li: 0.746 0.500 0.869
Li: 0.747 0.500 0.382
Mn: 0.492 0.000 0.001
Mn: 0.752 0.500 0.131
Co: 0.010 0.000 0.269
Co: 0.246 0.500 0.872
Co: 0.490 0.000 0.490
Co: 0.738 0.500 0.625
Co: 0.996 0.000 0.748
O: 0.008 0.000 0.876
O: 0.229 0.500 0.252
O: 0.232 0.500 0.754
O: 0.267 0.500 0.002
O: 0.275 0.500 0.502
O: 0.485 0.000 0.876
O: 0.500 0.000 0.384
O: 0.509 0.000 0.628
O: 0.529 0.000 0.132
O: 0.718 0.500 0.506
O: 0.722 0.500 0.012
O: 0.763 0.500 0.749
O: 0.772 0.500 0.242
O: 0.971 0.000 0.123
O: 0.983 0.000 0.628
O: 0.992 0.000 0.372

Top 6 peaks for 10° ≤ 2θ ≤ 80°, in order of rising 2θ:
18.2°, intensity 100
35.1°, intensity 16
36.4°, intensity 24
42.4°, intensity 27
43.9°, intensity 54
62.8°, intensity 21

=====

(7)
Simulated powder X-ray diffraction pattern
Compound: CeMoClO4
Radiation: copper Kα
Structure: a structure optimized by DFT (PBE+U)
Neutral-atom scattering factors, no anomalous dispersion.

Cell and atoms:
Cell: 19.663 5.935 7.550 Å, 90.00 90.22 90.00°
Fractional positions:
Ce: 0.108 0.195 0.129
Ce: 0.108 0.305 0.629
Ce: 0.392 0.696 0.381
Ce: 0.392 0.804 0.881
Ce: 0.608 0.196 0.119
Ce: 0.608 0.304 0.619
Ce: 0.892 0.695 0.371
Ce: 0.892 0.805 0.871
Mo: 0.177 0.748 0.882
Mo: 0.177 0.752 0.382
Mo: 0.323 0.248 0.630
Mo: 0.323 0.252 0.130
Mo: 0.677 0.748 0.870
Mo: 0.677 0.752 0.370
Mo: 0.823 0.248 0.618
Mo: 0.823 0.252 0.118
Cl: 0.006 0.731 0.627
Cl: 0.006 0.769 0.127
Cl: 0.494 0.231 0.873
Cl: 0.494 0.269 0.373
Cl: 0.506 0.731 0.627
Cl: 0.506 0.769 0.127
Cl: 0.994 0.231 0.873
Cl: 0.994 0.269 0.373
O: 0.129 0.032 0.419
O: 0.129 0.468 0.919
O: 0.132 0.030 0.840
O: 0.132 0.470 0.340
O: 0.163 0.656 0.631
O: 0.163 0.844 0.131
O: 0.233 0.239 0.628
O: 0.233 0.261 0.128
O: 0.267 0.738 0.884
O: 0.267 0.762 0.384
O: 0.337 0.154 0.880
O: 0.337 0.346 0.380
O: 0.368 0.531 0.672
O: 0.368 0.969 0.172
O: 0.371 0.531 0.091
O: 0.371 0.969 0.591
O: 0.629 0.031 0.409
O: 0.629 0.469 0.909
O: 0.632 0.031 0.828
O: 0.632 0.469 0.328
O: 0.663 0.654 0.620
O: 0.663 0.846 0.120
O: 0.733 0.238 0.616
O: 0.733 0.262 0.116
O: 0.767 0.739 0.872
O: 0.767 0.761 0.372
O: 0.837 0.156 0.869
O: 0.837 0.344 0.369
O: 0.868 0.530 0.660
O: 0.868 0.970 0.160
O: 0.871 0.532 0.081
O: 0.871 0.968 0.581

Top 6 peaks for 10° ≤ 2θ ≤ 80°, in order of rising 2θ:
18.0°, intensity 84
23.5°, intensity 95
28.0°, intensity 100
30.1°, intensity 63
31.2°, intensity 46
39.7°, intensity 45

=====

(8)
Simulated powder X-ray diffraction pattern
Compound: KTl2MoF6
Radiation: copper Kα
Structure: a structure optimized by DFT (PBE+U)
Neutral-atom scattering factors, no anomalous dispersion.

Cell and atoms:
Cell: 6.553 6.553 6.553 Å, 60.00 60.00 60.00°
Fractional positions:
K: 0.000 0.000 0.000
Tl: 0.250 0.250 0.250
Tl: 0.750 0.750 0.750
Mo: 0.500 0.500 0.500
F: 0.274 0.274 0.726
F: 0.274 0.726 0.274
F: 0.274 0.726 0.726
F: 0.726 0.274 0.274
F: 0.726 0.274 0.726
F: 0.726 0.726 0.274

Top 6 peaks for 10° ≤ 2θ ≤ 80°, in order of rising 2θ:
27.2°, intensity 100
33.5°, intensity 22
38.9°, intensity 33
48.1°, intensity 42
56.1°, intensity 21
77.0°, intensity 22